Entry 1:
For ThNi2GeN, a cell relaxed with GGA-PBE gives the theoretical PXRD pattern in this record (Cu Kα X-rays).
Kinematic intensities with the Lorentz-polarization factor, no thermal factor.

Top 10 peaks for 10 to 80 degrees two-theta, by angle:
| Position (°2θ) | Rel. int. |
| --- | --- |
| 25.4 | 25 |
| 26.2 | 30 |
| 29.8 | 30 |
| 33.5 | 43 |
| 34.2 | 55 |
| 36.6 | 51 |
| 36.8 | 100 |
| 40.4 | 28 |
| 51.3 | 22 |
| 63.3 | 26 |

Structural model:
abc: 6.0624 6.0624 7.0225
angles: 90.00 90.00 145.82
Fractional coordinates of all 10 atoms:
Th: 0.0346 0.9654 0.7500
Th: 0.9654 0.0346 0.2500
Ni: 0.3305 0.6695 0.5528
Ni: 0.3305 0.6695 0.9472
Ni: 0.6695 0.3305 0.0528
Ni: 0.6695 0.3305 0.4472
Ge: 0.2352 0.7648 0.2500
Ge: 0.7648 0.2352 0.7500
N: 0.5000 0.5000 0.0000
N: 0.5000 0.5000 0.5000



Entry 2:
For Ge2N2O, a cell relaxed with GGA-PBE gives the theoretical PXRD pattern in this record (Cu Kα X-rays).
Kinematic intensities with the Lorentz-polarization factor, no thermal factor.

Top 10 peaks for 10 to 80 degrees two-theta, by angle:
| Position (°2θ) | Rel. int. |
| --- | --- |
| 19.0 | 77 |
| 19.6 | 100 |
| 21.0 | 77 |
| 32.7 | 38 |
| 35.3 | 81 |
| 35.7 | 67 |
| 36.3 | 34 |
| 36.3 | 43 |
| 37.0 | 37 |
| 37.5 | 31 |

Structural model:
abc: 5.4755 5.6353 10.5027
angles: 89.87 75.08 62.78
Fractional coordinates of all 20 atoms:
Ge: 0.0000 0.0000 0.0000
Ge: 0.0012 0.5047 0.4999
Ge: 0.5025 0.3868 0.2515
Ge: 0.5173 0.8978 0.7538
Ge: 0.6718 0.6480 0.0036
Ge: 0.6806 0.1523 0.5040
Ge: 0.8647 0.2470 0.7476
Ge: 0.9039 0.7452 0.2447
N: 0.2519 0.4865 0.1587
N: 0.3885 0.8922 0.9361
N: 0.3925 0.3974 0.4364
N: 0.6287 0.1499 0.6870
N: 0.7955 0.8066 0.4278
N: 0.8070 0.3026 0.9270
N: 0.8271 0.5614 0.6797
N: 0.8324 0.0682 0.1806
O: 0.2240 0.9734 0.6855
O: 0.6499 0.6454 0.1851
O: 0.9517 0.7339 0.9379
O: 0.9710 0.2255 0.4381



Entry 3:
For Ge2N2O, a cell relaxed with GGA-PBE gives the theoretical PXRD pattern in this record (Cu Kα X-rays).
Kinematic intensities with the Lorentz-polarization factor, no thermal factor.

Top 10 peaks for 10 to 80 degrees two-theta, by angle:
| Position (°2θ) | Rel. int. |
| --- | --- |
| 19.0 | 44 |
| 20.4 | 54 |
| 30.4 | 18 |
| 34.2 | 100 |
| 36.6 | 14 |
| 39.4 | 15 |
| 41.1 | 17 |
| 52.5 | 12 |
| 56.2 | 27 |
| 64.3 | 15 |

Structural model:
abc: 5.4962 5.4962 5.4962
angles: 147.26 63.81 126.89
Fractional coordinates of all 5 atoms:
Ge: 0.1754 0.0000 0.1754
Ge: 0.8246 0.0000 0.8246
N: 0.4014 0.6959 0.7055
N: 0.9904 0.6959 0.2945
O: 0.8580 0.8580 0.0000